The following is a calculated PXRD pattern of Y2Co2O5. It was derived from the GGA+U geometry in the Materials Project, using CuKα.

Largest 12 diffraction maxima, in order of rising 2θ, 2θ = 5–70°:
(hkl)	2θ/deg	d/Å	I (rel.)
1 1 0	33.6	2.666	53
1 0 2	35.6	2.519	100
0 0 3	39.9	2.257	5
1 1 2	43.2	2.095	19
1 0 3	46.9	1.936	8
2 0 0	48.3	1.885	41
0 0 4	54.2	1.693	8
1 0 4	59.9	1.544	4
2 1 2	61.4	1.509	39
2 0 3	64.4	1.447	4
1 1 4	65.3	1.429	9
2 1 3	69.6	1.351	4

Structural model:
abc: 3.771 3.771 6.771
angles: 90.00 90.00 90.00
Space group P4/mmm (No. 123)
One atom of each set of equivalent atoms:
Y1 0.000 0.000 0.000 [1 per cell]
Y2 0.000 0.000 0.500 [1 per cell]
Co1 0.500 0.500 0.203 [2 per cell]
O1 0.000 0.500 0.224 [4 per cell]
O2 0.500 0.500 0.500 [1 per cell]



The following is a calculated PXRD pattern of NaMgFeSe2O8. It was derived from the GGA+U geometry in the Materials Project, using CuKα.

Largest 12 diffraction maxima, in order of rising 2θ, 2θ = 5–70°:
(hkl)	2θ/deg	d/Å	I (rel.)
1 1 -1	22.0	4.041	23
1 1 1	22.6	3.940	100
2 0 -1	22.9	3.888	63
0 2 0	30.7	2.914	54
1 1 -2	31.5	2.842	55
1 1 2	32.3	2.771	41
3 1 0	33.2	2.699	78
2 2 2	46.1	1.970	18
0 0 4	53.6	1.709	27
3 3 0	56.2	1.638	20
4 2 -2	56.9	1.617	21
3 1 -4	63.1	1.474	19

Structural model:
abc: 9.147 5.827 6.844
angles: 90.00 92.85 90.00
Space group Cm (No. 8)
One atom of each set of equivalent atoms:
Na1 0.000 0.000 0.000 [2 per cell]
Mg1 0.352 0.000 0.713 [2 per cell]
Fe1 0.008 0.000 0.472 [2 per cell]
Se1 0.156 0.500 0.759 [2 per cell]
Se2 0.347 0.000 0.231 [2 per cell]
O1 0.032 0.279 0.721 [4 per cell]
O2 0.223 0.000 0.482 [2 per cell]
O3 0.227 0.500 0.982 [2 per cell]
O4 0.284 0.500 0.595 [2 per cell]
O5 0.290 0.000 0.981 [2 per cell]
O6 0.459 0.236 0.262 [4 per cell]



The following is a calculated PXRD pattern of Li9Mn2Co5O16. It was derived from the GGA+U geometry in the Materials Project, using CuKα.

Largest 12 diffraction maxima, in order of rising 2θ, 2θ = 5–70°:
(hkl)	2θ/deg	d/Å	I (rel.)
0 0 1	11.8	7.482	8
0 1 1	18.2	4.862	100
1 -2 2	35.9	2.499	14
1 2 -2	36.2	2.481	13
-2 1 1	36.3	2.475	12
1 -1 3	43.5	2.082	27
-2 2 2	43.6	2.075	27
1 3 -1	43.8	2.066	26
1 0 -4	47.5	1.915	8
-2 3 3	57.2	1.609	9
-1 5 1	62.7	1.482	14
2 2 2	63.3	1.469	7

Structural model:
abc: 5.016 7.797 7.807
angles: 97.29 102.36 103.02
Space group P-1 (No. 2)
One atom of each set of equivalent atoms:
Li1 0.000 0.000 0.000 [1 per cell]
Li2 0.000 0.500 0.500 [1 per cell]
Li3 0.007 0.261 0.759 [2 per cell]
Li4 0.490 0.618 0.363 [2 per cell]
Li5 0.499 0.139 0.880 [2 per cell]
Li6 0.500 0.500 0.000 [1 per cell]
Mn1 0.002 0.126 0.378 [2 per cell]
Co1 0.006 0.375 0.115 [2 per cell]
Co2 0.490 0.741 0.754 [2 per cell]
Co3 0.500 0.000 0.500 [1 per cell]
O1 0.234 0.619 0.120 [2 per cell]
O2 0.237 0.355 0.375 [2 per cell]
O3 0.238 0.878 0.852 [2 per cell]
O4 0.240 0.250 0.014 [2 per cell]
O5 0.242 0.107 0.608 [2 per cell]
O6 0.247 0.774 0.506 [2 per cell]
O7 0.252 0.521 0.750 [2 per cell]
O8 0.260 0.018 0.276 [2 per cell]